# 1
This entry pairs a crystal structure of Na4Ga5Pt3 with its calculated powder X-ray diffraction pattern. Radiation: Cu Ka. Structure: the GGA-PBE geometry in Alexandria.
Neutral-atom scattering factors, no anomalous dispersion.

Largest 8 diffraction maxima, in order of rising 2θ, 2θ from 15° to 90°:
| Position (°2θ) | d [Å] | I/Imax |
| --- | --- | --- |
| 19.91 | 4.460 | 95 |
| 21.69 | 4.098 | 94 |
| 24.70 | 3.604 | 64 |
| 26.05 | 3.421 | 64 |
| 35.92 | 2.500 | 71 |
| 38.16 | 2.359 | 100 |
| 38.86 | 2.317 | 85 |
| 47.43 | 1.917 | 59 |

Structural model:
a = 7.7430 Å, b = 7.7430 Å, c = 7.2673 Å
α = 110.83°, β = 110.83°, γ = 35.47°
Element x y z (fractional)
Na1 0.0966 0.0966 0.4409
Na2 0.1791 0.1791 0.9221
Na3 0.8209 0.8209 0.0779
Na4 0.9034 0.9034 0.5591
Ga1 0.0000 0.0000 0.0000
Ga2 0.3190 0.3190 0.7199
Ga3 0.4402 0.4402 0.3053
Ga4 0.5598 0.5598 0.6947
Ga5 0.6810 0.6810 0.2801
Pt1 0.2758 0.2758 0.3443
Pt2 0.5000 0.5000 0.0000
Pt3 0.7242 0.7242 0.6557

# 2
This entry pairs a crystal structure of NaGa10Pt2 with its calculated powder X-ray diffraction pattern. Radiation: Cu Ka. Structure: the GGA-PBE geometry in Alexandria.
Neutral-atom scattering factors, no anomalous dispersion.

Largest 8 diffraction maxima, in order of rising 2θ, 2θ from 15° to 90°:
| Position (°2θ) | d [Å] | I/Imax |
| --- | --- | --- |
| 17.55 | 5.054 | 45 |
| 18.00 | 4.929 | 58 |
| 35.37 | 2.538 | 69 |
| 36.46 | 2.464 | 52 |
| 40.10 | 2.249 | 61 |
| 40.64 | 2.220 | 45 |
| 41.48 | 2.177 | 47 |
| 44.78 | 2.024 | 100 |

Structural model:
a = 6.8635 Å, b = 9.8573 Å, c = 6.8644 Å
α = 90.00°, β = 94.84°, γ = 90.00°
Element x y z (fractional)
Na1 0.1174 0.2500 0.3817
Na2 0.8826 0.7500 0.6183
Ga1 0.1587 0.6191 0.3416
Ga2 0.1587 0.8809 0.3416
Ga3 0.1863 0.0006 0.6863
Ga4 0.1863 0.4994 0.6863
Ga5 0.1908 0.2500 0.9576
Ga6 0.2168 0.7500 0.9708
Ga7 0.3795 0.0321 0.1204
Ga8 0.3795 0.4679 0.1204
Ga9 0.4576 0.7500 0.6910
Ga10 0.4705 0.2500 0.7168
Ga11 0.5295 0.7500 0.2832
Ga12 0.5424 0.2500 0.3090
Ga13 0.6205 0.5321 0.8796
Ga14 0.6205 0.9679 0.8796
Ga15 0.7832 0.2500 0.0292
Ga16 0.8092 0.7500 0.0424
Ga17 0.8137 0.5006 0.3137
Ga18 0.8137 0.9994 0.3137
Ga19 0.8413 0.1191 0.6584
Ga20 0.8413 0.3809 0.6584
Pt1 0.0000 0.0000 0.0000
Pt2 0.0000 0.5000 0.0000
Pt3 0.5000 0.0000 0.5000
Pt4 0.5000 0.5000 0.5000

# 3
This entry pairs a crystal structure of NaGa4Pt4 with its calculated powder X-ray diffraction pattern. Radiation: Cu Ka. Structure: the GGA-PBE geometry in Alexandria.
Neutral-atom scattering factors, no anomalous dispersion.

Largest 8 diffraction maxima, in order of rising 2θ, 2θ from 15° to 90°:
| Position (°2θ) | d [Å] | I/Imax |
| --- | --- | --- |
| 17.71 | 5.007 | 100 |
| 25.31 | 3.519 | 58 |
| 34.13 | 2.627 | 94 |
| 41.39 | 2.182 | 78 |
| 43.16 | 2.096 | 95 |
| 45.34 | 2.000 | 30 |
| 59.97 | 1.543 | 26 |
| 76.71 | 1.242 | 28 |

Structural model:
a = 6.1706 Å, b = 6.1706 Å, c = 8.5682 Å
α = 90.00°, β = 90.00°, γ = 90.00°
Element x y z (fractional)
Na1 0.2500 0.7500 0.2500
Na2 0.7500 0.2500 0.7500
Ga1 0.0322 0.2500 0.0568
Ga2 0.2500 0.0322 0.5568
Ga3 0.2500 0.4678 0.5568
Ga4 0.4678 0.2500 0.0568
Ga5 0.5322 0.7500 0.9432
Ga6 0.7500 0.5322 0.4432
Ga7 0.7500 0.9678 0.4432
Ga8 0.9678 0.7500 0.9432
Pt1 0.0241 0.2500 0.3576
Pt2 0.2500 0.0241 0.8576
Pt3 0.2500 0.4759 0.8576
Pt4 0.4759 0.2500 0.3576
Pt5 0.5241 0.7500 0.6424
Pt6 0.7500 0.5241 0.1424
Pt7 0.7500 0.9759 0.1424
Pt8 0.9759 0.7500 0.6424